# 1
For Mn21Ge2C6, the PBE geometry in Alexandria gives the calculated powder XRD pattern in this record (Cu Ka).
Lines closer than 0.1° are merged.

Unit cell a=7.408 b=7.408 c=7.408 alpha=60.00 beta=60.00 gamma=60.00
Sites, in units of the cell vectors:
Mn (0.000, 0.000, 0.000)
Mn (0.000, 0.000, 0.332)
Mn (0.000, 0.000, 0.668)
Mn (0.000, 0.332, 0.000)
Mn (0.000, 0.332, 0.668)
Mn (0.000, 0.668, 0.000)
Mn (0.000, 0.668, 0.332)
Mn (0.154, 0.615, 0.615)
Mn (0.332, 0.000, 0.000)
Mn (0.332, 0.000, 0.668)
Mn (0.332, 0.668, 0.000)
Mn (0.385, 0.385, 0.385)
Mn (0.385, 0.385, 0.846)
Mn (0.385, 0.846, 0.385)
Mn (0.615, 0.154, 0.615)
Mn (0.615, 0.615, 0.154)
Mn (0.615, 0.615, 0.615)
Mn (0.668, 0.000, 0.000)
Mn (0.668, 0.000, 0.332)
Mn (0.668, 0.332, 0.000)
Mn (0.846, 0.385, 0.385)
Ge (0.250, 0.250, 0.250)
Ge (0.750, 0.750, 0.750)
C (0.276, 0.276, 0.724)
C (0.276, 0.724, 0.276)
C (0.276, 0.724, 0.724)
C (0.724, 0.276, 0.276)
C (0.724, 0.276, 0.724)
C (0.724, 0.724, 0.276)

Main lines, low angle first (2θ = 15–90°):
2θ/deg  I/Imax
38.43  35
42.26  36
44.96  100
49.20  24
51.61  26
58.43  10
77.28  24
79.18  12

# 2
For Ca12Ga5H2, the PBE geometry in Alexandria gives the calculated powder XRD pattern in this record (Cu Ka).
Lines closer than 0.1° are merged.

Unit cell a=8.427 b=8.427 c=9.446 alpha=104.62 beta=104.62 gamma=64.53
Sites, in units of the cell vectors:
Ca (0.007, 0.007, 0.244)
Ca (0.055, 0.631, 0.408)
Ca (0.086, 0.621, 0.932)
Ca (0.369, 0.945, 0.592)
Ca (0.379, 0.914, 0.068)
Ca (0.453, 0.453, 0.666)
Ca (0.547, 0.547, 0.334)
Ca (0.621, 0.086, 0.932)
Ca (0.631, 0.055, 0.408)
Ca (0.914, 0.379, 0.068)
Ca (0.945, 0.369, 0.592)
Ca (0.993, 0.993, 0.756)
Ga (0.212, 0.212, 0.865)
Ga (0.223, 0.223, 0.368)
Ga (0.500, 0.500, 0.000)
Ga (0.777, 0.777, 0.632)
Ga (0.788, 0.788, 0.135)
H (0.337, 0.663, 0.500)
H (0.663, 0.337, 0.500)

Main lines, low angle first (2θ = 15–90°):
2θ/deg  I/Imax
21.26  82
21.95  50
28.33  51
33.02  100
33.46  48
35.46  61
38.13  58
40.08  50

# 3
For Pr4Sm5Sb2, the PBE geometry in Alexandria gives the calculated powder XRD pattern in this record (Cu Ka).
Lines closer than 0.1° are merged.

Unit cell a=16.469 b=16.469 c=16.469 alpha=18.53 beta=18.53 gamma=18.53
Sites, in units of the cell vectors:
Pr (0.071, 0.071, 0.071)
Pr (0.223, 0.223, 0.223)
Pr (0.777, 0.777, 0.777)
Pr (0.929, 0.929, 0.929)
Sm (0.000, 0.000, 0.000)
Sm (0.148, 0.148, 0.148)
Sm (0.304, 0.304, 0.304)
Sm (0.696, 0.696, 0.696)
Sm (0.852, 0.852, 0.852)
Sb (0.372, 0.372, 0.372)
Sb (0.628, 0.628, 0.628)

Main lines, low angle first (2θ = 15–90°):
2θ/deg  I/Imax
19.42  22
30.86  88
32.35  45
33.81  100
46.43  28
58.66  29
60.48  19
62.40  24

# 4
For TbEr2Tm7, the PBE geometry in Alexandria gives the calculated powder XRD pattern in this record (Cu Ka).
Lines closer than 0.1° are merged.

Unit cell a=9.292 b=9.292 c=6.918 alpha=111.79 beta=111.79 gamma=33.37
Sites, in units of the cell vectors:
Tb (0.000, 0.000, 0.000)
Er (0.199, 0.199, 0.700)
Er (0.801, 0.801, 0.300)
Tm (0.000, 0.000, 0.500)
Tm (0.200, 0.200, 0.201)
Tm (0.390, 0.390, 0.141)
Tm (0.390, 0.390, 0.639)
Tm (0.610, 0.610, 0.361)
Tm (0.610, 0.610, 0.859)
Tm (0.800, 0.800, 0.799)

Main lines, low angle first (2θ = 15–90°):
2θ/deg  I/Imax
31.29  88
32.01  100
33.59  46
33.90  43
48.46  32
59.07  18
59.90  18
63.22  31

# 5
For KCaYSeO6, the PBE geometry in Alexandria gives the calculated powder XRD pattern in this record (Cu Ka).
Lines closer than 0.1° are merged.

Unit cell a=5.701 b=5.701 c=5.701 alpha=60.00 beta=60.00 gamma=60.00
Sites, in units of the cell vectors:
K (0.000, 0.000, 0.000)
Ca (0.500, 0.500, 0.500)
Y (0.250, 0.250, 0.250)
Se (0.750, 0.750, 0.750)
O (0.524, 0.524, 0.976)
O (0.524, 0.976, 0.524)
O (0.524, 0.976, 0.976)
O (0.976, 0.524, 0.524)
O (0.976, 0.524, 0.976)
O (0.976, 0.976, 0.524)

Main lines, low angle first (2θ = 15–90°):
2θ/deg  I/Imax
22.05  38
31.38  100
44.97  41
50.63  14
55.86  36
65.49  23
74.42  17
82.97  7

# 6
For UBiPb2O8, the PBE geometry in Alexandria gives the calculated powder XRD pattern in this record (Cu Ka).
Lines closer than 0.1° are merged.

Unit cell a=5.231 b=5.231 c=7.048 alpha=90.00 beta=90.00 gamma=90.42
Sites, in units of the cell vectors:
U (0.000, 0.000, 0.000)
Bi (0.000, 0.000, 0.500)
Pb (0.500, 0.500, 0.249)
Pb (0.500, 0.500, 0.751)
O (0.183, 0.817, 0.220)
O (0.183, 0.817, 0.780)
O (0.298, 0.298, 0.000)
O (0.313, 0.313, 0.500)
O (0.687, 0.687, 0.500)
O (0.702, 0.702, 0.000)
O (0.817, 0.183, 0.220)
O (0.817, 0.183, 0.780)

Main lines, low angle first (2θ = 15–90°):
2θ/deg  I/Imax
23.97  54
24.15  53
30.59  100
34.29  33
46.50  40
46.70  39
57.97  20
59.12  22

# 7
For Li2La2TmIn2, the PBE geometry in Alexandria gives the calculated powder XRD pattern in this record (Cu Ka).
Lines closer than 0.1° are merged.

Unit cell a=9.305 b=9.305 c=9.305 alpha=30.25 beta=30.25 gamma=30.25
Sites, in units of the cell vectors:
Li (0.108, 0.108, 0.108)
Li (0.892, 0.892, 0.892)
La (0.366, 0.366, 0.366)
La (0.634, 0.634, 0.634)
Tm (0.500, 0.500, 0.500)
In (0.231, 0.231, 0.231)
In (0.769, 0.769, 0.769)

Main lines, low angle first (2θ = 15–90°):
2θ/deg  I/Imax
21.39  74
31.73  100
34.37  69
37.03  87
49.54  29
51.44  33
63.43  27
65.08  53

# 8
For Zn8SnN6, the PBE geometry in Alexandria gives the calculated powder XRD pattern in this record (Cu Ka).
Lines closer than 0.1° are merged.

Unit cell a=5.772 b=5.772 c=14.850 alpha=90.00 beta=90.00 gamma=120.00
Sites, in units of the cell vectors:
Zn (0.000, 0.318, 0.000)
Zn (0.000, 0.327, 0.365)
Zn (0.000, 0.673, 0.865)
Zn (0.000, 0.682, 0.500)
Zn (0.318, 0.000, 0.000)
Zn (0.318, 0.318, 0.500)
Zn (0.327, 0.000, 0.365)
Zn (0.327, 0.327, 0.865)
Zn (0.333, 0.667, 0.150)
Zn (0.333, 0.667, 0.650)
Zn (0.667, 0.333, 0.150)
Zn (0.667, 0.333, 0.650)
Zn (0.673, 0.000, 0.865)
Zn (0.673, 0.673, 0.365)
Zn (0.682, 0.000, 0.500)
Zn (0.682, 0.682, 0.000)
Sn (0.000, 0.000, 0.192)
Sn (0.000, 0.000, 0.692)
N (0.000, 0.000, 0.435)
N (0.000, 0.000, 0.935)
N (0.000, 0.331, 0.132)
N (0.000, 0.669, 0.632)
N (0.331, 0.000, 0.132)
N (0.331, 0.331, 0.632)
N (0.333, 0.667, 0.408)
N (0.333, 0.667, 0.908)
N (0.667, 0.333, 0.408)
N (0.667, 0.333, 0.908)
N (0.669, 0.000, 0.632)
N (0.669, 0.669, 0.132)

Main lines, low angle first (2θ = 15–90°):
2θ/deg  I/Imax
31.58  35
33.31  100
36.02  79
36.30  27
39.55  43
43.73  46
55.12  57
67.80  25